Structure and calculated powder X-ray diffraction pattern of CsSm2S3 (a structure optimized by DFT (GGA-PBE); Cu Kα (λ = 1.5418 Å)).
Intensities are scaled so that the largest is 100.

```
data_CsSm2S3
_symmetry_space_group_name_H-M 'C m c m'
_symmetry_Int_Tables_number 63
_symmetry_space_group_name_Hall '-C 2c 2'
_cell_length_a 4.572
_cell_length_b 15.979
_cell_length_c 11.024
_cell_angle_alpha 90.00
_cell_angle_beta 90.00
_cell_angle_gamma 90.00
loop_
_atom_site_label
_atom_site_type_symbol
_atom_site_fract_x
_atom_site_fract_y
_atom_site_fract_z
_atom_site_occupancy
Cs1 Cs 0.000 0.236 0.250 1
Sm1 Sm 0.000 0.029 0.750 1
Sm2 Sm 0.000 0.500 0.000 1
S1 S 0.000 0.112 0.542 1
S2 S 0.000 0.444 0.750 1
```

The 12 most intense peaks (15° ≤ 2θ ≤ 90°), in order of rising 2θ:
- hkl 0 2 2, 2θ 19.57, d = 4.537 Å, rel. 26
- hkl 0 4 0, 2θ 22.25, d = 3.995 Å, rel. 67
- hkl 1 1 2, 2θ 25.92, d = 3.437 Å, rel. 94
- hkl 1 3 1, 2θ 26.94, d = 3.309 Å, rel. 100
- hkl 1 3 2, 2θ 30.44, d = 2.936 Å, rel. 77
- hkl 0 0 4, 2θ 32.49, d = 2.756 Å, rel. 61
- hkl 1 3 3, 2θ 35.59, d = 2.523 Å, rel. 28
- hkl 1 5 2, 2θ 38.03, d = 2.366 Å, rel. 82
- hkl 2 0 0, 2θ 39.41, d = 2.286 Å, rel. 40
- hkl 0 4 4, 2θ 39.73, d = 2.268 Å, rel. 36
- hkl 1 7 3, 2θ 51.17, d = 1.785 Å, rel. 26
- hkl 2 0 4, 2θ 51.97, d = 1.760 Å, rel. 32

Structure and calculated powder X-ray diffraction pattern of K2TaH6O6 (a structure optimized by DFT (GGA-PBE); Cu Kα (λ = 1.5418 Å)).
Intensities are scaled so that the largest is 100.

```
data_K2TaH6O6
_symmetry_space_group_name_H-M 'R -3'
_symmetry_Int_Tables_number 148
_symmetry_space_group_name_Hall '-R 3'
_cell_length_a 6.5063
_cell_length_b 6.5063
_cell_length_c 12.3105
_cell_angle_alpha 90.00
_cell_angle_beta 90.00
_cell_angle_gamma 120.00
loop_
_atom_site_label
_atom_site_type_symbol
_atom_site_fract_x
_atom_site_fract_y
_atom_site_fract_z
_atom_site_occupancy
K1 K 0.0000 0.0000 0.2064 1
Ta1 Ta 0.0000 0.0000 0.5000 1
H1 H 0.0073 0.5849 0.6869 1
O1 O 0.0402 0.5586 0.2660 1
```

The 12 most intense peaks (15° ≤ 2θ ≤ 90°), in order of rising 2θ:
- hkl 1 0 1, 2θ 17.31, d = 5.123 Å, rel. 100
- hkl 0 1 2, 2θ 21.38, d = 4.156 Å, rel. 42
- hkl 0 0 3, 2θ 21.66, d = 4.103 Å, rel. 27
- hkl 1 1 0, 2θ 27.42, d = 3.253 Å, rel. 60
- hkl 0 2 1, 2θ 32.61, d = 2.746 Å, rel. 21
- hkl 1 0 4, 2θ 33.17, d = 2.701 Å, rel. 23
- hkl 1 1 3, 2θ 35.21, d = 2.549 Å, rel. 78
- hkl 0 2 4, 2θ 43.55, d = 2.078 Å, rel. 28
- hkl 2 1 4, 2θ 52.23, d = 1.751 Å, rel. 17
- hkl 2 -1 6, 2θ 52.75, d = 1.735 Å, rel. 16
- hkl 0 3 3, 2θ 53.67, d = 1.708 Å, rel. 21
- hkl 2 2 0, 2θ 56.58, d = 1.627 Å, rel. 15